(1)
K4LiC2O6: computed X-ray powder pattern (CuKα), based on the PBE geometry in the Materials Project.
Neutral-atom scattering factors, no anomalous dispersion.

Lattice parameters (Å, degrees): 5.5371 5.5371 10.1351 90.00 90.00 120.00
Element x y z (fractional)
K (0.0000, 0.0000, 0.0000)
K (0.3333, 0.6667, 0.3186)
K (0.3333, 0.6667, 0.6814)
K (0.6667, 0.3333, 0.5000)
Li (0.3333, 0.6667, 0.0000)
C (0.0000, 0.0000, 0.5000)
C (0.6667, 0.3333, 0.0000)
O (0.1358, 0.2716, 0.5000)
O (0.1358, 0.8642, 0.5000)
O (0.5305, 0.0610, 0.0000)
O (0.5305, 0.4695, 0.0000)
O (0.7284, 0.8642, 0.5000)
O (0.9390, 0.4695, 0.0000)

Top 8 peaks for 2θ from 10° to 90°, sorted by position:
d 5.068, I 100; d 3.483, I 95; d 2.766, I 93; d 2.534, I 22; d 2.333, I 43; d 2.167, I 41; d 1.955, I 32; d 1.598, I 21



(2)
K4LiC2O6: computed X-ray powder pattern (CuKα), based on the PBE geometry in the Materials Project.
Neutral-atom scattering factors, no anomalous dispersion.

Lattice parameters (Å, degrees): 6.5603 6.5603 8.0603 102.76 102.76 55.36
Element x y z (fractional)
K (0.0000, 0.0000, 0.0000)
K (0.0000, 0.0000, 0.5000)
K (0.2792, 0.2792, 0.8292)
K (0.7208, 0.7208, 0.1708)
Li (0.5000, 0.5000, 0.5000)
C (0.3265, 0.3265, 0.2695)
C (0.6735, 0.6735, 0.7305)
O (0.1943, 0.5612, 0.3334)
O (0.2298, 0.2298, 0.1481)
O (0.4388, 0.8057, 0.6666)
O (0.5612, 0.1943, 0.3334)
O (0.7702, 0.7702, 0.8519)
O (0.8057, 0.4388, 0.6666)

Top 8 peaks for 2θ from 10° to 90°, sorted by position:
d 5.224, I 48; d 3.663, I 100; d 3.196, I 56; d 3.047, I 31; d 2.990, I 47; d 2.343, I 19; d 2.096, I 14; d 2.068, I 33



(3)
KLuC2O6: computed X-ray powder pattern (CuKα), based on the PBE geometry in the Materials Project.
Neutral-atom scattering factors, no anomalous dispersion.

Lattice parameters (Å, degrees): 6.3237 6.3237 6.8625 103.73 103.73 96.01
Element x y z (fractional)
K (0.1203, 0.8797, 0.7500)
K (0.8797, 0.1203, 0.2500)
Lu (0.4045, 0.5955, 0.2500)
Lu (0.5955, 0.4045, 0.7500)
C (0.1457, 0.3905, 0.7440)
C (0.3905, 0.1457, 0.2440)
C (0.6095, 0.8543, 0.7560)
C (0.8543, 0.6095, 0.2560)
O (0.0603, 0.6047, 0.2788)
O (0.2187, 0.2501, 0.6165)
O (0.2501, 0.2187, 0.1165)
O (0.2990, 0.5347, 0.8957)
O (0.3953, 0.9397, 0.2212)
O (0.4653, 0.7010, 0.6043)
O (0.5347, 0.2990, 0.3957)
O (0.6047, 0.0603, 0.7788)
O (0.7010, 0.4653, 0.1043)
O (0.7499, 0.7813, 0.8835)
O (0.7813, 0.7499, 0.3835)
O (0.9397, 0.3953, 0.7212)

Top 8 peaks for 2θ from 10° to 90°, sorted by position:
d 6.053, I 100; d 5.156, I 21; d 3.956, I 26; d 3.792, I 40; d 3.212, I 66; d 3.079, I 82; d 2.489, I 25; d 2.025, I 22



(4)
K2LuPCO7: computed X-ray powder pattern (CuKα), based on the PBE geometry in the Materials Project.
Neutral-atom scattering factors, no anomalous dispersion.

Lattice parameters (Å, degrees): 5.7869 7.0415 9.8894 90.00 91.61 90.00
Element x y z (fractional)
K (0.2459, 0.0131, 0.2271)
K (0.2459, 0.4869, 0.2271)
K (0.7541, 0.5131, 0.7729)
K (0.7541, 0.9869, 0.7729)
Lu (0.2228, 0.2500, 0.6365)
Lu (0.7772, 0.7500, 0.3635)
P (0.2872, 0.7500, 0.5693)
P (0.7128, 0.2500, 0.4307)
C (0.2705, 0.2500, 0.9076)
C (0.7295, 0.7500, 0.0924)
O (0.0653, 0.2500, 0.8457)
O (0.1365, 0.7500, 0.4350)
O (0.2354, 0.5673, 0.6506)
O (0.2354, 0.9327, 0.6506)
O (0.2999, 0.2500, 0.0340)
O (0.4460, 0.2500, 0.8233)
O (0.4510, 0.2500, 0.4673)
O (0.5490, 0.7500, 0.5327)
O (0.5540, 0.7500, 0.1767)
O (0.7001, 0.7500, 0.9660)
O (0.7646, 0.0673, 0.3494)
O (0.7646, 0.4327, 0.3494)
O (0.8635, 0.2500, 0.5650)
O (0.9347, 0.7500, 0.1543)

Top 8 peaks for 2θ from 10° to 90°, sorted by position:
d 5.735, I 100; d 4.470, I 83; d 4.044, I 35; d 3.811, I 42; d 3.707, I 58; d 2.894, I 58; d 2.889, I 50; d 2.866, I 53



(5)
K2MgNb2P2C2O14: computed X-ray powder pattern (CuKα), based on the PBE geometry in the Materials Project.
Neutral-atom scattering factors, no anomalous dispersion.

Lattice parameters (Å, degrees): 5.1583 6.7307 10.7601 96.18 92.97 91.23
Element x y z (fractional)
K (0.0000, 0.0000, 0.0000)
K (0.0981, 0.4026, 0.7348)
Mg (0.4857, 0.6978, 0.4554)
Nb (0.0147, 0.9599, 0.4511)
Nb (0.4607, 0.4141, 0.1558)
P (0.5257, 0.9225, 0.2278)
P (0.9771, 0.4464, 0.3826)
C (0.5705, 0.3414, 0.9241)
C (0.8921, 0.8786, 0.6752)
O (0.0991, 0.9845, 0.6552)
O (0.1096, 0.6329, 0.4667)
O (0.1188, 0.4131, 0.2617)
O (0.3285, 0.3560, 0.9599)
O (0.3767, 0.9178, 0.3526)
O (0.4321, 0.0958, 0.1562)
O (0.4568, 0.7238, 0.1438)
O (0.6301, 0.3133, 0.8128)
O (0.6842, 0.4942, 0.3561)
O (0.7224, 0.8632, 0.5722)
O (0.7436, 0.3603, 0.0225)
O (0.8199, 0.9422, 0.2626)
O (0.8509, 0.7945, 0.7695)
O (0.9985, 0.2712, 0.4636)

Top 8 peaks for 2θ from 10° to 90°, sorted by position:
d 5.969, I 77; d 5.410, I 41; d 4.741, I 72; d 4.543, I 92; d 3.813, I 50; d 3.345, I 100; d 3.060, I 41; d 2.575, I 56



(6)
K2MgNb2P2C2O14: computed X-ray powder pattern (CuKα), based on the PBE geometry in the Materials Project.
Neutral-atom scattering factors, no anomalous dispersion.

Lattice parameters (Å, degrees): 5.3944 6.7818 9.6283 86.32 87.06 84.69
Element x y z (fractional)
K (0.0000, 0.0000, 0.0000)
K (0.4719, 0.4521, 0.5768)
Mg (0.5926, 0.9494, 0.5575)
Nb (0.5474, 0.6562, 0.1183)
Nb (0.9827, 0.1518, 0.4078)
P (0.0239, 0.6563, 0.3548)
P (0.4669, 0.1564, 0.2002)
C (0.0722, 0.1518, 0.6733)
C (0.5327, 0.7251, 0.8492)
O (0.1120, 0.2182, 0.7849)
O (0.1765, 0.1680, 0.2169)
O (0.2530, 0.1087, 0.5754)
O (0.3045, 0.6763, 0.3199)
O (0.3327, 0.7154, 0.9327)
O (0.5172, 0.7644, 0.7170)
O (0.5476, 0.3499, 0.1233)
O (0.5478, 0.9789, 0.1107)
O (0.5851, 0.1320, 0.3463)
O (0.7419, 0.6902, 0.9106)
O (0.8429, 0.1329, 0.6279)
O (0.8801, 0.6615, 0.2199)
O (0.9130, 0.8312, 0.4466)
O (0.9887, 0.4608, 0.4446)

Top 8 peaks for 2θ from 10° to 90°, sorted by position:
d 5.678, I 62; d 5.367, I 47; d 4.595, I 42; d 4.026, I 66; d 3.661, I 100; d 3.499, I 50; d 3.370, I 72; d 2.683, I 61



(7)
K2MgC2O6: computed X-ray powder pattern (CuKα), based on the PBE geometry in the Materials Project.
Neutral-atom scattering factors, no anomalous dispersion.

Lattice parameters (Å, degrees): 5.2051 5.2051 6.7296 114.46 114.46 60.28
Element x y z (fractional)
K (0.2157, 0.2157, 0.1380)
K (0.7843, 0.7843, 0.8620)
Mg (0.0000, 0.0000, 0.5000)
C (0.3963, 0.3963, 0.7080)
C (0.6037, 0.6037, 0.2920)
O (0.2484, 0.6810, 0.7004)
O (0.2618, 0.2618, 0.7345)
O (0.3190, 0.7516, 0.2996)
O (0.6810, 0.2484, 0.7004)
O (0.7382, 0.7382, 0.2655)
O (0.7516, 0.3190, 0.2996)

Top 8 peaks for 2θ from 10° to 90°, sorted by position:
d 2.954, I 25; d 2.815, I 100; d 2.735, I 62; d 2.614, I 19; d 2.601, I 38; d 2.200, I 17; d 2.180, I 35; d 2.029, I 35



(8)
K3MgPCO7: computed X-ray powder pattern (CuKα), based on the PBE geometry in the Materials Project.
Neutral-atom scattering factors, no anomalous dispersion.

Lattice parameters (Å, degrees): 5.6525 6.9291 9.6241 90.00 90.31 90.00
Element x y z (fractional)
K (0.2393, 0.2500, 0.4262)
K (0.2594, 0.5130, 0.7804)
K (0.2594, 0.9870, 0.7804)
K (0.7406, 0.0130, 0.2196)
K (0.7406, 0.4870, 0.2196)
K (0.7607, 0.7500, 0.5738)
Mg (0.2299, 0.7500, 0.1417)
Mg (0.7701, 0.2500, 0.8583)
P (0.2733, 0.2500, 0.0741)
P (0.7267, 0.7500, 0.9259)
C (0.2573, 0.7500, 0.4110)
C (0.7427, 0.2500, 0.5890)
O (0.0566, 0.7500, 0.3429)
O (0.0887, 0.2500, 0.9540)
O (0.2418, 0.0669, 0.1664)
O (0.2418, 0.4331, 0.1664)
O (0.2628, 0.7500, 0.5458)
O (0.4511, 0.7500, 0.3378)
O (0.4720, 0.7500, 0.9883)
O (0.5280, 0.2500, 0.0117)
O (0.5489, 0.2500, 0.6622)
O (0.7372, 0.2500, 0.4542)
O (0.7582, 0.5669, 0.8336)
O (0.7582, 0.9331, 0.8336)
O (0.9113, 0.7500, 0.0460)
O (0.9434, 0.2500, 0.6571)

Top 8 peaks for 2θ from 10° to 90°, sorted by position:
d 3.465, I 17; d 2.825, I 100; d 2.812, I 55; d 2.797, I 19; d 2.783, I 24; d 2.115, I 13; d 1.996, I 16; d 1.732, I 14



(9)
KMnC3N3: computed X-ray powder pattern (CuKα), based on the PBE geometry in the Materials Project.
Neutral-atom scattering factors, no anomalous dispersion.

Lattice parameters (Å, degrees): 6.7088 7.1005 11.8050 90.00 124.15 90.00
Element x y z (fractional)
K (0.2283, 0.0678, 0.2488)
K (0.2283, 0.4322, 0.7488)
K (0.7717, 0.5678, 0.2512)
K (0.7717, 0.9322, 0.7512)
Mn (0.0000, 0.0000, 0.5000)
Mn (0.0000, 0.5000, 0.0000)
Mn (0.5000, 0.0000, 0.0000)
Mn (0.5000, 0.5000, 0.5000)
C (0.2433, 0.1567, 0.9704)
C (0.2433, 0.3433, 0.4704)
C (0.3119, 0.7207, 0.4662)
C (0.3119, 0.7793, 0.9662)
C (0.3747, 0.0133, 0.8100)
C (0.3747, 0.4867, 0.3100)
C (0.6253, 0.5133, 0.6900)
C (0.6253, 0.9867, 0.1900)
C (0.6881, 0.2207, 0.0338)
C (0.6881, 0.2793, 0.5338)
C (0.7567, 0.6567, 0.5296)
C (0.7567, 0.8433, 0.0296)
N (0.0953, 0.2363, 0.4570)
N (0.0953, 0.2637, 0.9570)
N (0.1901, 0.6470, 0.9509)
N (0.1901, 0.8530, 0.4509)
N (0.2803, 0.0212, 0.6898)
N (0.2803, 0.4788, 0.1898)
N (0.7197, 0.5212, 0.8102)
N (0.7197, 0.9788, 0.3102)
N (0.8099, 0.1470, 0.5491)
N (0.8099, 0.3530, 0.0491)
N (0.9047, 0.7363, 0.0430)
N (0.9047, 0.7637, 0.5430)

Top 8 peaks for 2θ from 10° to 90°, sorted by position:
d 4.879, I 100; d 3.550, I 41; d 3.462, I 87; d 3.441, I 84; d 3.354, I 38; d 2.440, I 97; d 2.176, I 22; d 1.949, I 20



(10)
KC2N3: computed X-ray powder pattern (CuKα), based on the PBE geometry in the Materials Project.
Neutral-atom scattering factors, no anomalous dispersion.

Lattice parameters (Å, degrees): 8.4438 6.6326 7.4317 90.00 90.00 90.00
Element x y z (fractional)
K (0.1821, 0.2500, 0.0000)
K (0.1821, 0.2500, 0.5000)
K (0.8179, 0.7500, 0.0000)
K (0.8179, 0.7500, 0.5000)
C (0.1806, 0.7354, 0.2500)
C (0.1806, 0.7646, 0.7500)
C (0.4368, 0.6433, 0.7500)
C (0.4368, 0.8567, 0.2500)
C (0.5632, 0.1433, 0.7500)
C (0.5632, 0.3567, 0.2500)
C (0.8194, 0.2354, 0.2500)
C (0.8194, 0.2646, 0.7500)
N (0.0749, 0.6175, 0.2500)
N (0.0749, 0.8825, 0.7500)
N (0.2834, 0.6193, 0.7500)
N (0.2834, 0.8807, 0.2500)
N (0.4235, 0.1452, 0.7500)
N (0.4235, 0.3548, 0.2500)
N (0.5765, 0.6452, 0.7500)
N (0.5765, 0.8548, 0.2500)
N (0.7166, 0.1193, 0.7500)
N (0.7166, 0.3807, 0.2500)
N (0.9251, 0.1175, 0.2500)
N (0.9251, 0.3825, 0.7500)

Top 8 peaks for 2θ from 10° to 90°, sorted by position:
d 3.401, I 12; d 3.316, I 27; d 3.027, I 100; d 2.851, I 32; d 2.571, I 34; d 2.146, I 12; d 2.137, I 13; d 1.858, I 17



(11)
KC4N3: computed X-ray powder pattern (CuKα), based on the PBE geometry in the Materials Project.
Neutral-atom scattering factors, no anomalous dispersion.

Lattice parameters (Å, degrees): 3.9968 8.7699 9.1407 74.84 84.42 88.80
Element x y z (fractional)
K (0.2185, 0.3281, 0.2010)
K (0.7815, 0.6719, 0.7990)
C (0.3139, 0.0343, 0.7922)
C (0.3277, 0.3102, 0.8026)
C (0.3991, 0.1934, 0.7251)
C (0.4461, 0.7634, 0.4246)
C (0.5539, 0.2366, 0.5754)
C (0.6009, 0.8066, 0.2749)
C (0.6723, 0.6898, 0.1974)
C (0.6861, 0.9657, 0.2078)
N (0.2474, 0.8997, 0.8431)
N (0.2707, 0.4115, 0.8642)
N (0.3168, 0.7281, 0.5499)
N (0.6832, 0.2719, 0.4501)
N (0.7293, 0.5885, 0.1358)
N (0.7526, 0.1003, 0.1569)

Top 8 peaks for 2θ from 10° to 90°, sorted by position:
d 4.391, I 100; d 4.273, I 55; d 4.232, I 58; d 3.307, I 99; d 3.095, I 70; d 2.927, I 69; d 2.892, I 53; d 2.822, I 58